For La2MnNi3Sb4, a cell relaxed with PBE gives the calculated X-ray diffraction stick pattern in this record (Cu Kα, 1.54184 Å).

The 10 most intense peaks (15° ≤ 2θ ≤ 90°), sorted by position:
h k l, two_theta, d (Å), I_rel
1 1 0, 27.8, 3.208, 14
1 0 3, 32.8, 2.733, 62
1 1 2, 32.9, 2.721, 100
2 0 0, 39.7, 2.268, 71
1 1 4, 45.2, 2.005, 19
1 0 5, 48.7, 1.872, 24
2 1 3, 52.4, 1.745, 32
2 2 0, 57.5, 1.604, 24
2 1 5, 64.6, 1.444, 20
3 1 2, 67.8, 1.382, 31

Structural model:
Lattice parameters (Å, degrees): 4.5367 4.5367 10.2726 90.00 90.00 90.00
Element x y z (fractional)
La (0.0000, 0.5000, 0.2494)
La (0.5000, 0.0000, 0.7506)
Mn (0.0000, 0.0000, 0.5000)
Ni (0.0000, 0.5000, 0.8822)
Ni (0.5000, 0.0000, 0.1178)
Ni (0.5000, 0.5000, 0.5000)
Sb (0.0000, 0.0000, 0.0000)
Sb (0.0000, 0.5000, 0.6348)
Sb (0.5000, 0.0000, 0.3652)
Sb (0.5000, 0.5000, 0.0000)